For Li5Mn5O12, DFT lattice parameters and positions (PBE+U) gives the computed powder diffraction line list in this record (Cu Kα (λ = 1.5418 Å)).
Peak positions follow from Bragg's law for the DFT cell and can differ from measured ones.

Most intense lines, 5 to 70 degrees two-theta, by intensity:
2θ 17.22, I 100
2θ 46.55, I 13
2θ 8.59, I 9
2θ 42.15, I 8
2θ 42.91, I 8
2θ 42.48, I 8

Structural model:
```
Li5Mn5O12
1.0
5.0307 0.0000 0.0000
2.4588 4.4702 0.0000
1.6729 0.1948 10.2995
Li Mn O
5 5 12
Direct
0.0000 0.0000 0.0000
0.0536 0.3248 0.7932
0.3757 0.6909 0.7914
0.6243 0.3091 0.2086
0.9464 0.6752 0.2068
0.1643 0.6672 0.4997
0.3371 0.3248 0.0001
0.5000 0.0000 0.5000
0.6629 0.6752 0.9999
0.8357 0.3328 0.5003
0.0437 0.6322 0.8960
0.1049 0.3594 0.6028
0.1908 0.0064 0.4076
0.3309 0.6233 0.1043
0.3748 0.0037 0.8981
0.4703 0.6541 0.5971
0.5297 0.3459 0.4029
0.6252 0.9963 0.1019
0.6691 0.3767 0.8957
0.8092 0.9936 0.5924
0.8951 0.6406 0.3972
0.9563 0.3678 0.1040
```